TiTlF6: calculated powder X-ray diffraction pattern (a wavelength of 1.5418 Å), based on DFT lattice parameters and positions (GGA-PBE).
Intensities are scaled so that the largest is 100.

Peak list (8 most intense, 10° ≤ 2θ ≤ 90°, most intense first)
- 21.58°, rel. 100, hkl 0 0 2
- 30.70°, rel. 33, hkl 1 1 1
- 18.37°, rel. 20, hkl 0 1 1
- 18.95°, rel. 19, hkl 1 0 -2
- 35.73°, rel. 14, hkl 1 2 -2
- 49.43°, rel. 14, hkl 2 2 0
- 49.54°, rel. 14, hkl 1 1 -5
- 36.69°, rel. 13, hkl 2 1 -3

a = 5.6874 Å, b = 5.9578 Å, c = 9.9990 Å
α = 90.00°, β = 124.43°, γ = 90.00°
Space group P2_1/c (No. 14)
Asymmetric unit:
Ti1 0.0000 0.0000 0.0000 (multiplicity 2)
Tl1 0.5000 0.0000 0.5000 (multiplicity 2)
F1 0.1123 0.0245 0.2177 (multiplicity 4)
F2 0.2111 0.7301 0.0521 (multiplicity 4)
F3 0.3258 0.1665 0.0527 (multiplicity 4)